(1)
# Fe10O11F9
Calculated X-ray diffraction stick pattern, Cu Kα, 1.54184 Å. Input: DFT lattice parameters and positions (GGA+U).

Main lines, in order of rising 2θ (2θ = 15–90°):
Position (°2θ)	d/Å	I/Imax
26.41	3.375	94.6
26.74	3.333	93.9
34.75	2.582	100.0
39.63	2.274	18.2
52.19	1.753	53.8
52.57	1.741	53.1
60.13	1.539	17.0
66.48	1.406	35.5

Structural model:
```
data_Fe10O11F9
_chemical_formula_sum 'Fe10 O11 F9'
_cell_length_a 4.743
_cell_length_b 4.744
_cell_length_c 15.388
_cell_angle_alpha 89.99
_cell_angle_beta 89.94
_cell_angle_gamma 89.28
_symmetry_space_group_name_H-M 'P 1'
_symmetry_Int_Tables_number 1
loop_
_symmetry_equiv_pos_as_xyz
'x,y,z'
loop_
_atom_site_label
_atom_site_fract_x
_atom_site_fract_y
_atom_site_fract_z
_atom_site_occupancy
Fe1 0.000 0.000 0.000 1
Fe2 0.002 0.993 0.201 1
Fe3 0.016 0.941 0.400 1
Fe4 0.056 0.941 0.799 1
Fe5 0.474 0.427 0.697 1
Fe6 0.484 0.434 0.900 1
Fe7 0.488 0.417 0.307 1
Fe8 0.505 0.411 0.103 1
Fe9 0.546 0.476 0.494 1
Fe10 0.974 0.984 0.599 1
O1 0.184 0.155 0.101 1
O2 0.189 0.136 0.302 1
O3 0.190 0.137 0.697 1
O4 0.198 0.140 0.899 1
O5 0.317 0.643 0.402 1
O6 0.321 0.625 0.798 1
O7 0.684 0.254 0.203 1
O8 0.684 0.265 0.999 1
O9 0.690 0.276 0.598 1
O10 0.712 0.249 0.401 1
O11 0.824 0.775 0.502 1
F1 0.209 0.161 0.502 1
F2 0.294 0.648 0.200 1
F3 0.294 0.653 0.001 1
F4 0.303 0.661 0.599 1
F5 0.704 0.239 0.798 1
F6 0.794 0.759 0.100 1
F7 0.804 0.748 0.297 1
F8 0.804 0.752 0.701 1
F9 0.807 0.752 0.899 1
```

---

(2)
# Fe3OF9
Calculated X-ray diffraction stick pattern, Cu Kα, 1.54184 Å. Input: DFT lattice parameters and positions (GGA+U).

Main lines, in order of rising 2θ (2θ = 15–90°):
Position (°2θ)	d/Å	I/Imax
23.41	3.800	81.0
23.77	3.743	31.9
27.20	3.279	42.9
27.48	3.246	100.0
27.59	3.233	48.0
48.53	1.876	24.8
48.72	1.869	27.2
56.08	1.640	32.1

Structural model:
```
data_Fe3OF9
_chemical_formula_sum 'Fe12 O4 F36'
_cell_length_a 7.507
_cell_length_b 12.931
_cell_length_c 7.601
_cell_angle_alpha 90.00
_cell_angle_beta 90.00
_cell_angle_gamma 90.00
_symmetry_space_group_name_H-M 'C m c m'
_symmetry_Int_Tables_number 63
_symmetry_space_group_name_Hall '-C 2c 2'
loop_
_atom_site_label
_atom_site_fract_x
_atom_site_fract_y
_atom_site_fract_z
_atom_site_occupancy
Fe1 0.000 0.000 0.000 1
Fe2 0.250 0.250 0.000 1
O1 0.000 0.499 0.250 1
F1 0.000 0.037 0.750 1
F2 0.000 0.284 0.553 1
F3 0.185 0.104 0.043 1
F4 0.208 0.283 0.250 1
```

---

(3)
# Fe4OF7
Calculated X-ray diffraction stick pattern, Cu Kα, 1.54184 Å. Input: DFT lattice parameters and positions (GGA+U).

Main lines, in order of rising 2θ (2θ = 15–90°):
Position (°2θ)	d/Å	I/Imax
26.00	3.428	89.0
26.70	3.339	79.9
33.09	2.707	100.0
38.45	2.341	19.8
50.55	1.806	62.8
51.35	1.779	50.1
56.01	1.642	20.0
65.03	1.434	39.6

Structural model:
```
data_Fe4OF7
_chemical_formula_sum 'Fe16 O4 F28'
_cell_length_a 9.563
_cell_length_b 6.567
_cell_length_c 10.591
_cell_angle_alpha 90.00
_cell_angle_beta 115.32
_cell_angle_gamma 90.00
_symmetry_space_group_name_H-M 'C 1 m 1'
_symmetry_Int_Tables_number 8
loop_
_symmetry_equiv_pos_as_xyz
'x,y,z'
'x,-y,z'
'x+1/2,y+1/2,z'
'x+1/2,-y+1/2,z'
loop_
_atom_site_label
_atom_site_fract_x
_atom_site_fract_y
_atom_site_fract_z
_atom_site_occupancy
Fe1 0.000 0.000 0.000 1
Fe2 0.009 0.500 0.990 1
Fe3 0.134 0.255 0.734 1
Fe4 0.250 0.500 0.502 1
Fe5 0.259 0.000 0.485 1
Fe6 0.384 0.258 0.235 1
O1 0.178 0.500 0.636 1
O2 0.432 0.500 0.137 1
F1 0.079 0.500 0.838 1
F2 0.083 0.000 0.844 1
F3 0.112 0.261 0.391 1
F4 0.153 0.236 0.084 1
F5 0.186 0.000 0.638 1
F6 0.328 0.500 0.347 1
F7 0.334 0.000 0.335 1
F8 0.363 0.260 0.891 1
F9 0.403 0.263 0.585 1
F10 0.434 0.000 0.138 1
```